Computed PXRD pattern of CaAc8Pm3 for Cu Kα X-rays, from a crystal structure in Alexandria, relaxed with GGA-PBE.
Peak positions follow from Bragg's law for the DFT cell and can differ from measured ones.

```
CaAc8Pm3
1.0
9.0725 -3.0101 0.0000
9.0725 3.0101 0.0000
-0.2417 0.0000 9.3241
Ca Ac Pm
1 8 3
direct
0.0000 0.0000 0.0000
0.0145 0.0145 0.4508
0.1876 0.1876 0.2360
0.1948 0.1948 0.7117
0.3527 0.3527 0.0067
0.5141 0.5141 0.7520
0.6553 0.6553 0.4834
0.7054 0.7054 0.9700
0.8484 0.8484 0.6848
0.3791 0.3791 0.4346
0.5359 0.5359 0.1882
0.8325 0.8325 0.2671
```

Peak list (10 most intense, 10 to 90 degrees two-theta, in order of rising 2θ)
| d_spacing | two_theta | intensity |
| --- | --- | --- |
| 3.176 | 28.09 | 86 |
| 3.119 | 28.62 | 100 |
| 3.023 | 29.55 | 36 |
| 3.010 | 29.68 | 51 |
| 2.966 | 30.13 | 40 |
| 2.331 | 38.63 | 15 |
| 2.133 | 42.37 | 28 |
| 1.843 | 49.45 | 16 |
| 1.768 | 51.69 | 21 |
| 1.758 | 52.02 | 20 |

Computed PXRD pattern of Sc2S for Cu Kα X-rays, from a crystal structure in Alexandria, relaxed with GGA-PBE.
Peak positions follow from Bragg's law for the DFT cell and can differ from measured ones.

```
Sc2S
1.0
3.5512 0.0000 0.0000
-1.7756 3.0754 0.0000
0.0000 0.0000 11.3839
Sc S
4 2
direct
0.0000 0.0000 0.0000
0.0000 0.0000 0.5000
0.3333 0.6667 0.2667
0.6667 0.3333 0.7667
0.3333 0.6667 0.6337
0.6667 0.3333 0.1337
```

Peak list (10 most intense, 10 to 90 degrees two-theta, in order of rising 2θ)
| d_spacing | two_theta | intensity |
| --- | --- | --- |
| 5.692 | 15.57 | 16 |
| 2.969 | 30.10 | 23 |
| 2.706 | 33.11 | 100 |
| 2.389 | 37.65 | 58 |
| 2.089 | 43.32 | 15 |
| 1.830 | 49.83 | 20 |
| 1.776 | 51.47 | 39 |
| 1.615 | 57.03 | 16 |
| 1.484 | 62.57 | 13 |
| 1.110 | 87.94 | 14 |

Computed PXRD pattern of YTl2CdF6 for Cu Kα X-rays, from a crystal structure in Alexandria, relaxed with GGA-PBE.
Peak positions follow from Bragg's law for the DFT cell and can differ from measured ones.

```
YTl2CdF6
1.0
-3.2473 3.2595 4.6076
3.2473 -3.2595 4.6076
3.2473 3.2595 -4.6076
Y Tl Cd F
1 2 1 6
direct
0.0000 0.0000 0.0000
0.2504 0.7504 0.5000
0.7496 0.2496 0.5000
0.5000 0.5000 0.0000
0.2383 0.2383 0.0000
0.2378 0.2394 0.4772
0.2378 0.7606 0.9985
0.7622 0.2394 0.0015
0.7622 0.7606 0.5228
0.7617 0.7617 0.0000
```

Peak list (10 most intense, 10 to 90 degrees two-theta, in order of rising 2θ)
| d_spacing | two_theta | intensity |
| --- | --- | --- |
| 4.603 | 19.28 | 9 |
| 3.256 | 27.39 | 100 |
| 3.247 | 27.47 | 20 |
| 2.658 | 33.72 | 14 |
| 2.302 | 39.14 | 38 |
| 1.881 | 48.40 | 34 |
| 1.876 | 48.52 | 17 |
| 1.628 | 56.52 | 21 |
| 1.456 | 63.93 | 19 |
| 1.231 | 77.51 | 13 |

Computed PXRD pattern of KNa2Cd2F7 for Cu Kα X-rays, from a crystal structure in Alexandria, relaxed with GGA-PBE.
Peak positions follow from Bragg's law for the DFT cell and can differ from measured ones.

```
KNa2Cd2F7
1.0
-2.2713 9.4787 2.2677
2.2713 -9.4787 2.2677
2.2713 9.4787 -2.2677
K Na Cd F
1 2 2 7
direct
0.0000 0.0000 0.0000
0.2978 0.5472 0.7505
0.7967 0.5472 0.2495
0.4294 0.0450 0.3843
0.6607 0.0450 0.6157
0.1683 0.5483 0.6199
0.3127 0.0474 0.2653
0.4317 0.5487 0.8830
0.5981 0.0981 0.5000
0.6657 0.5487 0.1170
0.7822 0.0474 0.7347
0.9284 0.5483 0.3801
```

Peak list (10 most intense, 10 to 90 degrees two-theta, in order of rising 2θ)
| d_spacing | two_theta | intensity |
| --- | --- | --- |
| 4.739 | 18.72 | 29 |
| 4.414 | 20.12 | 100 |
| 3.687 | 24.14 | 73 |
| 3.210 | 27.80 | 37 |
| 2.910 | 30.73 | 61 |
| 2.370 | 37.97 | 35 |
| 2.270 | 39.71 | 72 |
| 2.018 | 44.91 | 25 |
| 1.790 | 51.03 | 29 |
| 1.639 | 56.11 | 39 |

Computed PXRD pattern of ScB4 for Cu Kα X-rays, from a crystal structure in Alexandria, relaxed with GGA-PBE.
Peak positions follow from Bragg's law for the DFT cell and can differ from measured ones.

```
ScB4
1.0
6.9494 0.0000 0.0000
0.0000 6.9494 0.0000
0.0000 0.0000 3.9129
Sc B
4 16
direct
0.1779 0.3221 0.0000
0.3221 0.8221 0.0000
0.6779 0.1779 0.0000
0.8221 0.6779 0.0000
0.0000 0.0000 0.2023
0.0000 0.0000 0.7977
0.0380 0.8214 0.5000
0.0856 0.5856 0.5000
0.1786 0.0380 0.5000
0.3214 0.5380 0.5000
0.4144 0.0856 0.5000
0.4620 0.3214 0.5000
0.5000 0.5000 0.2023
0.5000 0.5000 0.7977
0.5380 0.6786 0.5000
0.5856 0.9144 0.5000
0.6786 0.4620 0.5000
0.8214 0.9620 0.5000
0.9144 0.4144 0.5000
0.9620 0.1786 0.5000
```

Peak list (10 most intense, 10 to 90 degrees two-theta, in order of rising 2θ)
| d_spacing | two_theta | intensity |
| --- | --- | --- |
| 3.108 | 28.72 | 50 |
| 2.598 | 34.52 | 43 |
| 2.434 | 36.94 | 100 |
| 2.081 | 43.49 | 15 |
| 1.956 | 46.41 | 16 |
| 1.916 | 47.45 | 22 |
| 1.685 | 54.44 | 25 |
| 1.656 | 55.50 | 14 |
| 1.548 | 59.74 | 13 |
| 1.277 | 74.27 | 19 |

Computed PXRD pattern of Y3CrPd12 for Cu Kα X-rays, from a crystal structure in Alexandria, relaxed with GGA-PBE.
Peak positions follow from Bragg's law for the DFT cell and can differ from measured ones.

```
Y3CrPd12
1.0
4.0890 0.0000 0.0000
0.0000 4.0890 0.0000
0.0000 0.0000 16.2372
Y Cr Pd
3 1 12
direct
0.0000 0.0000 0.0000
0.0000 0.0000 0.2569
0.0000 0.0000 0.7431
0.0000 0.0000 0.5000
0.0000 0.5000 0.1288
0.0000 0.5000 0.3869
0.0000 0.5000 0.6131
0.0000 0.5000 0.8712
0.5000 0.0000 0.1288
0.5000 0.0000 0.3869
0.5000 0.0000 0.6131
0.5000 0.0000 0.8712
0.5000 0.5000 0.0000
0.5000 0.5000 0.2578
0.5000 0.5000 0.5000
0.5000 0.5000 0.7422
```

Peak list (10 most intense, 10 to 90 degrees two-theta, in order of rising 2θ)
| d_spacing | two_theta | intensity |
| --- | --- | --- |
| 2.550 | 35.19 | 2 |
| 2.355 | 38.22 | 100 |
| 2.044 | 44.30 | 34 |
| 2.030 | 44.65 | 14 |
| 1.446 | 64.45 | 11 |
| 1.440 | 64.72 | 18 |
| 1.315 | 71.80 | 2 |
| 1.232 | 77.47 | 24 |
| 1.226 | 77.96 | 9 |
| 1.178 | 81.79 | 9 |